[1]
Calculated powder diffractogram
Compound: K2Ta3Se6
Radiation: a wavelength of 1.5418 Å
Structure: the GGA-PBE geometry in the Materials Project
Kinematic intensities with the Lorentz-polarization factor, no thermal factor.

The 12 most intense peaks (2θ from 10° to 80°), sorted by position:
2θ/deg, I_rel
10.77, 1000
28.85, 184
30.88, 370
36.35, 623
44.15, 397
51.13, 210
52.41, 124
53.55, 68
64.17, 55
64.34, 117
69.80, 167
79.20, 88

Structural model:
Lattice parameters (Å, degrees): 3.573 3.573 49.296 90.00 90.00 120.00
Fractional positions:
K 0.000 0.000 0.000
K 0.000 0.000 0.333
K 0.000 0.000 0.667
K 0.333 0.667 0.500
Ta 0.333 0.667 0.083
Ta 0.333 0.667 0.250
Ta 0.333 0.667 0.417
Ta 0.333 0.667 0.583
Ta 0.333 0.667 0.750
Ta 0.333 0.667 0.917
Se 0.667 0.333 0.050
Se 0.667 0.333 0.116
Se 0.667 0.333 0.217
Se 0.667 0.333 0.284
Se 0.667 0.333 0.383
Se 0.667 0.333 0.450
Se 0.667 0.333 0.550
Se 0.667 0.333 0.617
Se 0.667 0.333 0.716
Se 0.667 0.333 0.783
Se 0.667 0.333 0.884
Se 0.667 0.333 0.950

---

[2]
Calculated powder diffractogram
Compound: K2TeSe3
Radiation: a wavelength of 1.5418 Å
Structure: the GGA-PBE geometry in the Materials Project
Kinematic intensities with the Lorentz-polarization factor, no thermal factor.

The 12 most intense peaks (2θ from 10° to 80°), sorted by position:
2θ/deg, I_rel
14.17, 211
15.81, 310
18.09, 284
18.98, 206
26.48, 1000
26.57, 507
36.62, 110
37.82, 532
39.14, 177
42.55, 102
47.85, 135
50.05, 121

Structural model:
Lattice parameters (Å, degrees): 10.439 6.742 13.449 90.00 105.08 90.00
Fractional positions:
K 0.007 0.249 0.124
K 0.007 0.251 0.624
K 0.343 0.244 0.454
K 0.343 0.256 0.954
K 0.657 0.744 0.046
K 0.657 0.756 0.546
K 0.993 0.749 0.376
K 0.993 0.751 0.876
Te 0.287 0.712 0.165
Te 0.287 0.788 0.665
Te 0.713 0.212 0.335
Te 0.713 0.288 0.835
Se 0.037 0.746 0.135
Se 0.037 0.754 0.635
Se 0.322 0.744 0.486
Se 0.322 0.756 0.986
Se 0.337 0.150 0.701
Se 0.337 0.350 0.201
Se 0.663 0.650 0.799
Se 0.663 0.850 0.299
Se 0.678 0.244 0.014
Se 0.678 0.256 0.514
Se 0.963 0.246 0.365
Se 0.963 0.254 0.865

---

[3]
Calculated powder diffractogram
Compound: KTi6Se8
Radiation: a wavelength of 1.5418 Å
Structure: the GGA-PBE geometry in the Materials Project
Kinematic intensities with the Lorentz-polarization factor, no thermal factor.

The 12 most intense peaks (2θ from 10° to 80°), sorted by position:
2θ/deg, I_rel
10.26, 908
30.72, 687
31.13, 999
32.47, 698
37.28, 1000
37.63, 564
44.30, 796
50.91, 262
52.87, 597
56.50, 145
60.88, 205
64.97, 305

Structural model:
Lattice parameters (Å, degrees): 9.953 9.953 3.588 90.00 90.00 120.00
Fractional positions:
K 0.000 0.000 0.000
Ti 0.129 0.637 0.750
Ti 0.363 0.492 0.750
Ti 0.492 0.129 0.250
Ti 0.508 0.871 0.750
Ti 0.637 0.508 0.250
Ti 0.871 0.363 0.250
Se 0.051 0.351 0.748
Se 0.300 0.949 0.748
Se 0.333 0.667 0.250
Se 0.351 0.300 0.252
Se 0.649 0.700 0.748
Se 0.667 0.333 0.750
Se 0.700 0.051 0.252
Se 0.949 0.649 0.252

---

[4]
Calculated powder diffractogram
Compound: K3VSe4
Radiation: a wavelength of 1.5418 Å
Structure: the GGA-PBE geometry in the Materials Project
Kinematic intensities with the Lorentz-polarization factor, no thermal factor.

The 12 most intense peaks (2θ from 10° to 80°), sorted by position:
2θ/deg, I_rel
14.12, 385
22.85, 1000
27.77, 276
33.89, 165
35.61, 279
36.88, 143
37.43, 92
39.54, 297
41.27, 107
44.36, 93
56.08, 101
57.37, 84

Structural model:
Lattice parameters (Å, degrees): 7.812 7.812 7.812 122.78 122.78 85.25
Fractional positions:
K 0.000 0.000 0.000
K 0.250 0.750 0.500
K 0.750 0.250 0.500
V 0.500 0.500 0.000
Se 0.209 0.209 0.638
Se 0.429 0.791 0.000
Se 0.571 0.571 0.362
Se 0.791 0.429 0.000

---

[5]
Calculated powder diffractogram
Compound: KV5Se8
Radiation: a wavelength of 1.5418 Å
Structure: the GGA-PBE geometry in the Materials Project
Kinematic intensities with the Lorentz-polarization factor, no thermal factor.

The 12 most intense peaks (2θ from 10° to 80°), sorted by position:
2θ/deg, I_rel
10.16, 281
12.25, 215
30.82, 230
31.35, 1000
31.63, 464
32.85, 567
33.69, 240
37.29, 409
39.40, 374
40.29, 171
49.23, 291
50.34, 496

Structural model:
Lattice parameters (Å, degrees): 9.536 9.536 8.977 103.93 103.93 22.38
Fractional positions:
K 0.000 0.000 0.000
V 0.151 0.151 0.490
V 0.212 0.212 0.849
V 0.500 0.500 0.500
V 0.788 0.788 0.151
V 0.849 0.849 0.510
Se 0.072 0.072 0.673
Se 0.260 0.260 0.343
Se 0.338 0.338 0.011
Se 0.413 0.413 0.679
Se 0.587 0.587 0.321
Se 0.662 0.662 0.989
Se 0.740 0.740 0.657
Se 0.928 0.928 0.327

---

[6]
Calculated powder diffractogram
Compound: KSi
Radiation: a wavelength of 1.5418 Å
Structure: the GGA-PBE geometry in the Materials Project
Kinematic intensities with the Lorentz-polarization factor, no thermal factor.

The 12 most intense peaks (2θ from 10° to 80°), sorted by position:
2θ/deg, I_rel
15.65, 208
24.32, 448
26.63, 340
28.55, 180
30.83, 1000
32.07, 877
33.81, 289
35.41, 305
39.90, 183
40.28, 162
53.26, 167
60.14, 195

Structural model:
Lattice parameters (Å, degrees): 11.433 11.433 11.433 124.71 124.71 82.02
Fractional positions:
K 0.005 0.255 0.509
K 0.107 0.750 0.857
K 0.245 0.495 0.991
K 0.250 0.107 0.857
K 0.250 0.607 0.357
K 0.255 0.245 0.250
K 0.393 0.250 0.643
K 0.495 0.005 0.250
K 0.505 0.995 0.750
K 0.607 0.750 0.357
K 0.745 0.755 0.750
K 0.750 0.393 0.643
K 0.750 0.893 0.143
K 0.755 0.505 0.009
K 0.893 0.250 0.143
K 0.995 0.745 0.491
Si 0.015 0.727 0.091
Si 0.076 0.985 0.212
Si 0.135 0.924 0.409
Si 0.227 0.515 0.591
Si 0.273 0.865 0.288
Si 0.365 0.773 0.788
Si 0.424 0.635 0.909
Si 0.485 0.576 0.712
Si 0.515 0.424 0.288
Si 0.576 0.365 0.091
Si 0.635 0.227 0.212
Si 0.727 0.135 0.712
Si 0.773 0.485 0.409
Si 0.865 0.076 0.591
Si 0.924 0.015 0.788
Si 0.985 0.273 0.909

---

[7]
Calculated powder diffractogram
Compound: KSiTc2
Radiation: a wavelength of 1.5418 Å
Structure: the GGA-PBE geometry in the Materials Project
Kinematic intensities with the Lorentz-polarization factor, no thermal factor.

The 7 most intense peaks (2θ from 10° to 80°), sorted by position:
2θ/deg, I_rel
23.94, 300
39.59, 1000
46.79, 154
57.23, 163
62.92, 63
71.82, 322
76.94, 46

Structural model:
Lattice parameters (Å, degrees): 4.553 4.553 4.553 60.00 60.00 60.00
Fractional positions:
K 0.000 0.000 0.000
Si 0.750 0.750 0.750
Tc 0.250 0.250 0.250
Tc 0.500 0.500 0.500